(1)
The following is a theoretical powder X-ray diffraction pattern of PrVGe3. It was derived from a PBE-relaxed structure, using CuKα.
Peak positions follow from Bragg's law for the DFT cell and can differ from measured ones.

Largest 6 diffraction maxima, sorted by position, 2θ = 10–80°:
- 3.141 Å, 28.4 deg, rel. 22
- 2.820 Å, 31.7 deg, rel. 29
- 2.504 Å, 35.9 deg, rel. 20
- 2.450 Å, 36.7 deg, rel. 100
- 1.958 Å, 46.4 deg, rel. 29
- 1.547 Å, 59.8 deg, rel. 24

Unit cell a=6.282 b=6.282 c=5.640 alpha=90.00 beta=90.00 gamma=120.00
Atoms (fractional coordinates):
Pr: 0.333 0.667 0.250
Pr: 0.667 0.333 0.750
V: 0.000 0.000 0.000
V: 0.000 0.000 0.500
Ge: 0.195 0.389 0.750
Ge: 0.195 0.805 0.750
Ge: 0.389 0.195 0.250
Ge: 0.611 0.805 0.750
Ge: 0.805 0.195 0.250
Ge: 0.805 0.611 0.250

---

(2)
The following is a theoretical powder X-ray diffraction pattern of Pr2YGe2. It was derived from a PBE-relaxed structure, using CuKα.
Peak positions follow from Bragg's law for the DFT cell and can differ from measured ones.

Largest 6 diffraction maxima, sorted by position, 2θ = 10–80°:
- 3.057 Å, 29.2 deg, rel. 73
- 2.931 Å, 30.5 deg, rel. 100
- 2.792 Å, 32.1 deg, rel. 84
- 2.652 Å, 33.8 deg, rel. 67
- 2.533 Å, 35.4 deg, rel. 77
- 2.231 Å, 40.4 deg, rel. 65

Unit cell a=6.694 b=6.694 c=10.912 alpha=114.99 beta=114.99 gamma=38.93
Atoms (fractional coordinates):
Pr: 0.015 0.015 0.187
Pr: 0.179 0.179 0.589
Pr: 0.821 0.821 0.411
Pr: 0.985 0.985 0.813
Y: 0.277 0.277 0.136
Y: 0.723 0.723 0.864
Ge: 0.384 0.384 0.941
Ge: 0.485 0.485 0.610
Ge: 0.515 0.515 0.390
Ge: 0.616 0.616 0.059